No. 1
TiCoP2O8: simulated powder X-ray diffraction pattern (Cu Kα), based on a cell relaxed with GGA+U.
Lines closer than 0.1° are merged.

Principal peaks in the range 10° ≤ 2θ ≤ 80°, in order of rising 2θ:
| two_theta | d (Å) | intensity |
| --- | --- | --- |
| 17.78 | 4.987 | 99 |
| 19.98 | 4.444 | 54 |
| 20.18 | 4.400 | 83 |
| 23.24 | 3.828 | 40 |
| 24.98 | 3.565 | 40 |
| 25.15 | 3.540 | 78 |
| 29.92 | 2.986 | 100 |
| 35.70 | 2.515 | 67 |
| 36.05 | 2.491 | 58 |
| 47.83 | 1.902 | 29 |

Atomic structure:
Cell lengths 5.972, 9.867, 11.073 Å; angles 64.26, 89.98, 89.98 degrees
Fractional positions:
Ti1 0.000 0.000 0.000
Ti2 0.000 0.500 0.000
Ti3 0.500 0.197 0.551
Ti4 0.500 0.697 0.551
Co1 0.000 0.467 0.505
Co2 0.500 0.230 0.047
Co3 0.501 0.730 0.050
Co4 0.999 0.967 0.502
P1 0.000 0.117 0.677
P2 0.000 0.201 0.175
P3 0.001 0.619 0.677
P4 0.001 0.700 0.176
P5 0.500 0.496 0.376
P6 0.500 0.580 0.874
P7 0.501 0.078 0.874
P8 0.501 0.996 0.375
O1 0.000 0.068 0.136
O2 0.000 0.501 0.827
O3 0.001 0.274 0.667
O4 0.002 0.643 0.325
O5 0.002 0.776 0.668
O6 0.197 0.313 0.101
O7 0.198 0.814 0.101
O8 0.205 0.585 0.604
O9 0.206 0.082 0.606
O10 0.295 0.112 0.946
O11 0.295 0.611 0.948
O12 0.303 0.383 0.451
O13 0.304 0.883 0.448
O14 0.499 0.127 0.417
O15 0.499 0.550 0.227
O16 0.499 0.696 0.723
O17 0.500 0.628 0.415
O18 0.501 0.195 0.724
O19 0.502 0.054 0.226
O20 0.502 0.422 0.884
O21 0.502 0.921 0.883
O22 0.697 0.384 0.450
O23 0.697 0.883 0.449
O24 0.705 0.112 0.946
O25 0.705 0.615 0.945
O26 0.795 0.085 0.603
O27 0.795 0.586 0.604
O28 0.803 0.313 0.101
O29 0.804 0.814 0.103
O30 0.999 0.001 0.828
O31 0.999 0.147 0.325
O32 0.999 0.569 0.134


No. 2
Ti4CoP6O24: simulated powder X-ray diffraction pattern (Cu Kα), based on a cell relaxed with GGA+U.
Lines closer than 0.1° are merged.

Principal peaks in the range 10° ≤ 2θ ≤ 80°, in order of rising 2θ:
| two_theta | d (Å) | intensity |
| --- | --- | --- |
| 12.56 | 7.050 | 15 |
| 20.55 | 4.322 | 40 |
| 20.70 | 4.291 | 17 |
| 24.22 | 3.675 | 100 |
| 29.33 | 3.045 | 16 |
| 31.91 | 2.804 | 20 |
| 32.98 | 2.716 | 35 |
| 36.00 | 2.495 | 22 |
| 47.30 | 1.922 | 20 |
| 56.33 | 1.633 | 17 |

Atomic structure:
Cell lengths 8.583, 8.583, 8.583 Å; angles 60.47, 60.47, 60.47 degrees
Fractional positions:
Ti1 0.134 0.134 0.134
Ti2 0.354 0.354 0.354
Ti3 0.646 0.646 0.646
Ti4 0.866 0.866 0.866
Co1 0.500 0.500 0.500
P1 0.046 0.468 0.746
P2 0.254 0.954 0.532
P3 0.468 0.746 0.046
P4 0.532 0.254 0.954
P5 0.746 0.046 0.468
P6 0.954 0.532 0.254
O1 0.003 0.634 0.799
O2 0.061 0.279 0.909
O3 0.091 0.939 0.721
O4 0.117 0.492 0.316
O5 0.201 0.997 0.366
O6 0.239 0.450 0.580
O7 0.279 0.909 0.061
O8 0.316 0.117 0.492
O9 0.366 0.201 0.997
O10 0.420 0.761 0.550
O11 0.450 0.580 0.239
O12 0.492 0.316 0.117
O13 0.508 0.684 0.883
O14 0.550 0.420 0.761
O15 0.580 0.239 0.450
O16 0.634 0.799 0.003
O17 0.684 0.883 0.508
O18 0.721 0.091 0.939
O19 0.761 0.550 0.420
O20 0.799 0.003 0.634
O21 0.883 0.508 0.684
O22 0.909 0.061 0.279
O23 0.939 0.721 0.091
O24 0.997 0.366 0.201


No. 3
Ti2CoP2O10: simulated powder X-ray diffraction pattern (Cu Kα), based on a cell relaxed with GGA+U.
Lines closer than 0.1° are merged.

Principal peaks in the range 10° ≤ 2θ ≤ 80°, in order of rising 2θ:
| two_theta | d (Å) | intensity |
| --- | --- | --- |
| 13.68 | 6.472 | 22 |
| 18.19 | 4.878 | 30 |
| 26.62 | 3.348 | 14 |
| 26.80 | 3.327 | 100 |
| 27.58 | 3.235 | 38 |
| 27.67 | 3.224 | 22 |
| 34.05 | 2.633 | 13 |
| 38.84 | 2.319 | 27 |
| 55.22 | 1.664 | 19 |
| 56.47 | 1.629 | 14 |

Atomic structure:
Cell lengths 7.434, 7.457, 7.437 Å; angles 90.00, 119.47, 90.00 degrees
Fractional positions:
Ti1 0.235 0.223 0.208
Ti2 0.235 0.277 0.708
Ti3 0.765 0.723 0.292
Ti4 0.765 0.777 0.792
Co1 0.500 0.000 0.000
Co2 0.500 0.500 0.500
P1 0.254 0.621 0.004
P2 0.254 0.879 0.504
P3 0.746 0.121 0.496
P4 0.746 0.379 0.996
O1 0.057 0.735 0.927
O2 0.057 0.765 0.427
O3 0.240 0.507 0.824
O4 0.240 0.993 0.324
O5 0.269 0.159 0.000
O6 0.269 0.341 0.500
O7 0.282 0.004 0.683
O8 0.282 0.496 0.183
O9 0.441 0.750 0.088
O10 0.441 0.750 0.588
O11 0.559 0.250 0.412
O12 0.559 0.250 0.912
O13 0.718 0.504 0.817
O14 0.718 0.996 0.317
O15 0.731 0.659 0.500
O16 0.731 0.841 0.000
O17 0.760 0.007 0.676
O18 0.760 0.493 0.176
O19 0.943 0.235 0.573
O20 0.943 0.265 0.073


No. 4
Ti3V2CoP6O24: simulated powder X-ray diffraction pattern (Cu Kα), based on a cell relaxed with GGA+U.
Lines closer than 0.1° are merged.

Principal peaks in the range 10° ≤ 2θ ≤ 80°, in order of rising 2θ:
| two_theta | d (Å) | intensity |
| --- | --- | --- |
| 20.45 | 4.344 | 64 |
| 24.16 | 3.684 | 100 |
| 25.17 | 3.539 | 14 |
| 31.76 | 2.817 | 15 |
| 33.00 | 2.714 | 59 |
| 35.81 | 2.508 | 29 |
| 47.30 | 1.922 | 25 |
| 49.49 | 1.842 | 22 |
| 56.01 | 1.642 | 19 |
| 62.57 | 1.484 | 15 |

Atomic structure:
Cell lengths 8.573, 8.573, 8.573 Å; angles 60.89, 60.89, 60.89 degrees
Fractional positions:
Ti1 0.000 0.000 0.000
Ti2 0.212 0.212 0.212
Ti3 0.709 0.709 0.709
V1 0.356 0.356 0.356
V2 0.856 0.856 0.856
Co1 0.497 0.497 0.497
P1 0.104 0.813 0.399
P2 0.310 0.603 0.896
P3 0.399 0.104 0.813
P4 0.603 0.896 0.310
P5 0.813 0.399 0.104
P6 0.896 0.310 0.603
O1 0.028 0.869 0.241
O2 0.095 0.297 0.445
O3 0.115 0.767 0.922
O4 0.170 0.974 0.353
O5 0.241 0.028 0.869
O6 0.258 0.620 0.407
O7 0.297 0.445 0.095
O8 0.342 0.539 0.746
O9 0.353 0.170 0.974
O10 0.407 0.258 0.620
O11 0.445 0.095 0.297
O12 0.473 0.669 0.850
O13 0.539 0.746 0.342
O14 0.593 0.941 0.800
O15 0.620 0.407 0.258
O16 0.669 0.850 0.473
O17 0.746 0.342 0.539
O18 0.767 0.922 0.115
O19 0.800 0.593 0.941
O20 0.850 0.473 0.669
O21 0.869 0.241 0.028
O22 0.922 0.115 0.767
O23 0.941 0.800 0.593
O24 0.974 0.353 0.170


No. 5
TiZnCoP3O12: simulated powder X-ray diffraction pattern (Cu Kα), based on a cell relaxed with GGA+U.
Lines closer than 0.1° are merged.

Principal peaks in the range 10° ≤ 2θ ≤ 80°, in order of rising 2θ:
| two_theta | d (Å) | intensity |
| --- | --- | --- |
| 20.59 | 4.313 | 97 |
| 24.34 | 3.657 | 100 |
| 25.35 | 3.513 | 22 |
| 33.26 | 2.694 | 84 |
| 36.07 | 2.490 | 41 |
| 47.68 | 1.907 | 32 |
| 49.88 | 1.828 | 31 |
| 56.45 | 1.630 | 25 |
| 56.95 | 1.617 | 16 |
| 63.08 | 1.474 | 24 |

Atomic structure:
Cell lengths 8.508, 8.508, 8.508 Å; angles 60.92, 60.92, 60.92 degrees
Fractional positions:
Ti1 0.000 0.000 0.000
Ti2 0.500 0.500 0.500
Zn1 0.149 0.149 0.149
Zn2 0.649 0.649 0.649
Co1 0.291 0.291 0.291
Co2 0.791 0.791 0.791
P1 0.098 0.393 0.688
P2 0.188 0.893 0.598
P3 0.393 0.688 0.098
P4 0.598 0.188 0.893
P5 0.688 0.098 0.393
P6 0.893 0.598 0.188
O1 0.033 0.824 0.638
O2 0.055 0.405 0.205
O3 0.089 0.230 0.885
O4 0.138 0.324 0.533
O5 0.140 0.957 0.764
O6 0.205 0.055 0.405
O7 0.230 0.885 0.089
O8 0.264 0.457 0.640
O9 0.324 0.533 0.138
O10 0.385 0.730 0.589
O11 0.405 0.205 0.055
O12 0.457 0.640 0.264
O13 0.533 0.138 0.324
O14 0.555 0.705 0.905
O15 0.589 0.385 0.730
O16 0.638 0.033 0.824
O17 0.640 0.264 0.457
O18 0.705 0.905 0.555
O19 0.730 0.589 0.385
O20 0.764 0.140 0.957
O21 0.824 0.638 0.033
O22 0.885 0.089 0.230
O23 0.905 0.555 0.705
O24 0.957 0.764 0.140


No. 6
V2CoP3O12: simulated powder X-ray diffraction pattern (Cu Kα), based on a cell relaxed with GGA+U.
Lines closer than 0.1° are merged.

Principal peaks in the range 10° ≤ 2θ ≤ 80°, in order of rising 2θ:
| two_theta | d (Å) | intensity |
| --- | --- | --- |
| 20.65 | 4.300 | 75 |
| 24.34 | 3.657 | 100 |
| 25.40 | 3.507 | 19 |
| 32.08 | 2.790 | 16 |
| 33.14 | 2.703 | 65 |
| 36.18 | 2.483 | 34 |
| 47.54 | 1.913 | 31 |
| 49.87 | 1.829 | 24 |
| 56.63 | 1.625 | 23 |
| 63.15 | 1.472 | 17 |

Atomic structure:
Cell lengths 8.542, 8.542, 8.542 Å; angles 60.46, 60.46, 60.46 degrees
Fractional positions:
V1 0.143 0.143 0.143
V2 0.357 0.357 0.357
V3 0.643 0.643 0.643
V4 0.857 0.857 0.857
Co1 0.000 0.000 0.000
Co2 0.500 0.500 0.500
P1 0.043 0.750 0.457
P2 0.250 0.543 0.957
P3 0.457 0.043 0.750
P4 0.543 0.957 0.250
P5 0.750 0.457 0.043
P6 0.957 0.250 0.543
O1 0.005 0.811 0.617
O2 0.058 0.913 0.261
O3 0.087 0.739 0.942
O4 0.117 0.311 0.505
O5 0.189 0.383 0.995
O6 0.239 0.587 0.442
O7 0.261 0.058 0.913
O8 0.311 0.505 0.117
O9 0.383 0.995 0.189
O10 0.413 0.558 0.761
O11 0.442 0.239 0.587
O12 0.495 0.883 0.689
O13 0.505 0.117 0.311
O14 0.558 0.761 0.413
O15 0.587 0.442 0.239
O16 0.617 0.005 0.811
O17 0.689 0.495 0.883
O18 0.739 0.942 0.087
O19 0.761 0.413 0.558
O20 0.811 0.617 0.005
O21 0.883 0.689 0.495
O22 0.913 0.261 0.058
O23 0.942 0.087 0.739
O24 0.995 0.189 0.383


No. 7
VCo3P4O16: simulated powder X-ray diffraction pattern (Cu Kα), based on a cell relaxed with GGA+U.
Lines closer than 0.1° are merged.

Principal peaks in the range 10° ≤ 2θ ≤ 80°, in order of rising 2θ:
| two_theta | d (Å) | intensity |
| --- | --- | --- |
| 17.99 | 4.930 | 89 |
| 20.17 | 4.402 | 44 |
| 20.57 | 4.317 | 61 |
| 23.49 | 3.787 | 30 |
| 25.22 | 3.531 | 54 |
| 25.55 | 3.487 | 59 |
| 30.23 | 2.957 | 100 |
| 35.97 | 2.496 | 67 |
| 36.67 | 2.451 | 67 |
| 48.50 | 1.877 | 26 |

Atomic structure:
Cell lengths 4.861, 5.913, 9.863 Å; angles 90.00, 91.41, 90.00 degrees
Fractional positions:
V1 0.000 0.000 0.000
Co1 0.423 0.000 0.498
Co2 0.510 0.500 0.041
Co3 0.946 0.500 0.549
P1 0.049 0.500 0.868
P2 0.392 0.500 0.371
P3 0.584 0.000 0.175
P4 0.884 0.000 0.675
O1 0.125 0.500 0.715
O2 0.196 0.000 0.661
O3 0.196 0.293 0.939
O4 0.196 0.707 0.939
O5 0.250 0.294 0.445
O6 0.250 0.706 0.445
O7 0.272 0.000 0.139
O8 0.327 0.500 0.220
O9 0.633 0.000 0.327
O10 0.706 0.500 0.399
O11 0.731 0.203 0.607
O12 0.731 0.797 0.607
O13 0.735 0.200 0.101
O14 0.735 0.800 0.101
O15 0.740 0.500 0.880
O16 0.825 0.000 0.832